For La11Tb9Ho4, DFT lattice parameters and positions (PBE) gives the calculated XRD peak list in this record (Cu Kα, 1.54184 Å).

Most intense lines, 10° ≤ 2θ ≤ 80°, by angle:
2θ 29.20, I = 52
2θ 29.63, I = 18
2θ 30.51, I = 19
2θ 31.12, I = 10
2θ 31.34, I = 17
2θ 31.82, I = 100
2θ 31.90, I = 11
2θ 49.22, I = 14
2θ 58.27, I = 17
2θ 59.56, I = 11

```
24
Lattice="8.6193 -13.0224 0.0000 8.6193 13.0224 0.0000 0.0000 0.0000 3.7024" Properties=species:S:1:pos:R:3 pbc="T T T"
La 0.0000 0.0000 0.0000
La 3.8516 4.7089 0.0000
La 8.6193 8.8592 0.0000
La 5.0527 0.0000 0.0000
La 8.6193 3.4238 0.0000
La 3.8516 -4.7089 0.0000
La 13.3869 4.7089 0.0000
La 8.6193 -3.4238 0.0000
La 12.1858 0.0000 0.0000
La 8.6193 -8.8592 0.0000
La 13.3869 -4.7089 0.0000
Tb 2.4398 1.8875 1.8512
Tb 6.8707 6.0535 1.8512
Tb 2.4398 -1.8875 1.8512
Tb 10.3678 6.0535 1.8512
Tb 8.6193 0.0000 1.8512
Tb 6.8707 -6.0535 1.8512
Tb 14.7988 1.8875 1.8512
Tb 10.3678 -6.0535 1.8512
Tb 14.7988 -1.8875 1.8512
Ho 5.9085 2.6557 1.8512
Ho 5.9085 -2.6557 1.8512
Ho 11.3300 2.6557 1.8512
Ho 11.3300 -2.6557 1.8512
```



For PrSmErZr, DFT lattice parameters and positions (PBE) gives the calculated XRD peak list in this record (Cu Kα, 1.54184 Å).

Most intense lines, 10° ≤ 2θ ≤ 80°, by angle:
2θ 19.55, I = 2
2θ 22.61, I = 2
2θ 32.19, I = 100
2θ 37.94, I = 1
2θ 39.69, I = 1
2θ 46.16, I = 18
2θ 51.99, I = 1
2θ 57.38, I = 38
2θ 67.34, I = 12
2θ 76.61, I = 16

```
4
Lattice="0.0000 3.9332 3.9332 3.9332 0.0000 3.9332 3.9332 3.9332 0.0000" Properties=species:S:1:pos:R:3 pbc="T T T"
Pr 0.0000 0.0000 0.0000
Sm 5.8998 5.8998 5.8998
Er 1.9666 1.9666 1.9666
Zr 3.9332 3.9332 3.9332
```



For Pm3CuNi8, DFT lattice parameters and positions (PBE) gives the calculated XRD peak list in this record (Cu Kα, 1.54184 Å).

Most intense lines, 10° ≤ 2θ ≤ 80°, by angle:
2θ 35.56, I = 32
2θ 35.73, I = 38
2θ 41.94, I = 33
2θ 42.11, I = 100
2θ 44.10, I = 23
2θ 64.08, I = 12
2θ 68.44, I = 14
2θ 68.54, I = 14
2θ 75.29, I = 12
2θ 75.69, I = 16

```
12
Lattice="2.5132 1.4510 8.2627 -2.5132 1.4510 8.2627 0.0000 -2.9019 8.2627" Properties=species:S:1:pos:R:3 pbc="T T T"
Pm 0.0000 0.0000 0.0000
Pm 0.0000 0.0000 3.2176
Pm 0.0000 0.0000 15.1498
Cu 0.0000 0.0000 12.1582
Ni 0.0000 -1.4649 5.5901
Ni -1.2687 0.7325 5.5901
Ni -1.2414 -0.7167 9.8078
Ni 0.0000 0.0000 7.6874
Ni 1.2414 -0.7167 9.8078
Ni 0.0000 1.4335 9.8078
Ni 1.2687 0.7325 5.5901
Ni 0.0000 0.0000 20.1002
```